Structure and computed X-ray diffraction stick pattern of AgHg2Pd4 (a GGA-PBE-relaxed structure; copper Kα).
No peak broadening, texture or thermal motion is included.

Atomic structure:
Cell lengths 12.3011, 7.1801, 6.9579 Å; angles 90.00, 124.41, 90.00 degrees
Space group C2 (No. 5)
Symmetry-distinct sites (fractional):
Ag 0.0338 0.0000 0.2853
Hg 0.0000 0.3584 0.0000
Hg 0.0000 0.6408 0.5000
Hg 0.2502 0.2498 0.5483
Pd 0.1102 0.3063 0.7495
Pd 0.1100 0.6936 0.9701
Pd 0.2056 0.0690 0.1464
Pd 0.2065 0.9303 0.7656

Principal peaks in the range 10 to 90 degrees two-theta, by angle:
hkl	Position (°2θ)	I (rel.)
1 1 1	25.01	19
4 0 -1	29.35	35
3 1 -2	29.87	26
1 3 0	38.65	35
2 2 1	38.80	100
5 1 -2	39.21	74
1 3 -1	39.85	84
4 2 -2	40.24	60
3 1 -3	40.89	42
2 2 -3	47.53	16
6 4 -1	71.49	25
7 3 -4	72.80	17